Diffraction record for Pm2Hg3. The powder XRD pattern is calculated, not measured: it uses a crystal structure in Alexandria, relaxed with GGA-PBE and λ = 1.5418 Å (Cu Kα).
Lines closer than 0.1° are merged.

Crystal structure
```
data_Pm2Hg3
_cell_length_a 7.2017
_cell_length_b 12.7466
_cell_length_c 6.3498
_cell_angle_alpha 90.00
_cell_angle_beta 90.00
_cell_angle_gamma 90.00
_space_group_name_H-M_alt 'I b a m'
_space_group_IT_number 72
_space_group_name_Hall '-I 2 2c'
loop_
_atom_site_label
_atom_site_type_symbol
_atom_site_fract_x
_atom_site_fract_y
_atom_site_fract_z
_atom_site_occupancy
Pm1 Pm 0.2377 0.1590 0.0000 1
Hg1 Hg 0.0000 0.5000 0.2500 1
Hg2 Hg 0.1746 0.1006 0.5000 1
```

Top 10 peaks for 10 to 80 degrees two-theta, sorted by position:
| 2θ/deg | I (rel.) | hkl |
| --- | --- | --- |
| 13.90 | 24 | 0 2 0 |
| 24.32 | 28 | 1 3 0 |
| 28.11 | 31 | 0 0 2 |
| 31.59 | 48 | 1 1 2 |
| 33.84 | 56 | 1 4 1 |
| 35.61 | 25 | 2 3 1 |
| 37.74 | 100 | 2 0 2 |
| 38.15 | 35 | 3 1 0 |
| 40.09 | 51 | 0 4 2 |
| 61.35 | 22 | 1 8 1 |

=====

Diffraction record for Pm3Pr5Hg2. The powder XRD pattern is calculated, not measured: it uses a crystal structure in Alexandria, relaxed with GGA-PBE and λ = 1.5418 Å (Cu Kα).
Lines closer than 0.1° are merged.

Crystal structure
```
data_Pm3Pr5Hg2
_cell_length_a 12.1765
_cell_length_b 16.1900
_cell_length_c 6.6668
_cell_angle_alpha 90.00
_cell_angle_beta 92.77
_cell_angle_gamma 90.00
_space_group_name_H-M_alt 'C 1 2/c 1'
_space_group_IT_number 15
_space_group_name_Hall '-C 2yc'
loop_
_atom_site_label
_atom_site_type_symbol
_atom_site_fract_x
_atom_site_fract_y
_atom_site_fract_z
_atom_site_occupancy
Pm1 Pm 0.0000 0.0326 0.2500 1
Pm2 Pm 0.1103 0.2370 0.0707 1
Pr1 Pr 0.0000 0.4671 0.2500 1
Pr2 Pr 0.1493 0.3413 0.5960 1
Pr3 Pr 0.2452 0.4452 0.0440 1
Hg1 Hg 0.1144 0.1445 0.5936 1
```

Top 10 peaks for 10 to 80 degrees two-theta, sorted by position:
| 2θ/deg | I (rel.) | hkl |
| --- | --- | --- |
| 25.76 | 13 | 3 1 -1 |
| 30.19 | 44 | 3 3 -1 |
| 31.24 | 52 | 2 0 2 |
| 31.43 | 48 | 4 2 0 |
| 31.75 | 100 | 1 5 1 |
| 31.99 | 38 | 2 2 -2 |
| 43.58 | 13 | 5 3 1 |
| 46.93 | 13 | 3 7 -1 |
| 55.93 | 14 | 3 5 3 |
| 62.25 | 12 | 5 5 -3 |

=====

Diffraction record for Pm2Pr3Hg. The powder XRD pattern is calculated, not measured: it uses a crystal structure in Alexandria, relaxed with GGA-PBE and λ = 1.5418 Å (Cu Kα).
Lines closer than 0.1° are merged.

Crystal structure
```
data_Pm2Pr3Hg
_cell_length_a 6.2858
_cell_length_b 10.9241
_cell_length_c 11.7142
_cell_angle_alpha 90.00
_cell_angle_beta 100.48
_cell_angle_gamma 90.00
_space_group_name_H-M_alt 'C 1 2/m 1'
_space_group_IT_number 12
_space_group_name_Hall '-C 2y'
loop_
_atom_site_label
_atom_site_type_symbol
_atom_site_fract_x
_atom_site_fract_y
_atom_site_fract_z
_atom_site_occupancy
Pm1 Pm 0.0000 0.0000 0.0000 1
Pm2 Pm 0.0000 0.1635 0.5000 1
Pm3 Pm 0.0000 0.5000 0.5000 1
Pr1 Pr 0.2358 0.5000 0.2394 1
Pr2 Pr 0.2494 0.3282 0.7598 1
Hg1 Hg 0.0000 0.3325 0.0000 1
```

Top 10 peaks for 10 to 80 degrees two-theta, sorted by position:
| 2θ/deg | I (rel.) | hkl |
| --- | --- | --- |
| 30.21 | 100 | 2 0 -2 |
| 31.06 | 30 | 0 0 4 |
| 35.23 | 44 | 1 3 -3 |
| 35.37 | 22 | 2 0 2 |
| 50.24 | 16 | 3 3 -1 |
| 51.30 | 22 | 2 0 -6 |
| 59.64 | 10 | 2 6 -2 |
| 60.15 | 18 | 3 3 -5 |
| 60.33 | 9 | 3 3 3 |
| 62.83 | 12 | 4 0 -4 |